Y2ErFe2CoNi6: simulated powder diffractogram (CuKα), based on a DFT-relaxed cell (GGA-PBE, OQMD).
Peak positions follow from Bragg's law for the DFT cell and can differ from measured ones.

Structure:
```
data_Y2ErFe2CoNi6
_chemical_formula_sum 'Y6 Er3 Fe6 Co3 Ni18'
_symmetry_space_group_name_H-M 'R -3 m'
_symmetry_Int_Tables_number 166
_symmetry_space_group_name_Hall '-R 3 2"'
_cell_length_a 4.9791
_cell_length_b 4.9791
_cell_length_c 24.2553
_cell_angle_alpha 90.00
_cell_angle_beta 90.00
_cell_angle_gamma 120.00
loop_
_atom_site_label
_atom_site_type_symbol
_atom_site_fract_x
_atom_site_fract_y
_atom_site_fract_z
_atom_site_occupancy
Y1 Y 0.0000 0.0000 0.1391 1
Er1 Er 0.0000 0.0000 0.0000 1
Fe1 Fe 0.0000 0.0000 0.3324 1
Co1 Co 0.0000 0.0000 0.5000 1
Ni1 Ni 0.0028 0.5014 0.0808 1
```

Main lines, by intensity (10° ≤ 2θ ≤ 80°):
2θ/deg  d [Å]  I/Imax  (hkl)
42.64  2.120  100  1 1 6
42.07  2.148  35  0 2 1
33.17  2.701  35  1 0 7
36.08  2.490  33  1 1 0
36.22  2.480  30  0 1 8
69.40  1.354  19  0 3 6
76.53  1.245  18  2 2 0
64.93  1.436  17  3 0 0



Y2ErFe2Co6Ni: simulated powder diffractogram (CuKα), based on a DFT-relaxed cell (GGA-PBE, OQMD).
Peak positions follow from Bragg's law for the DFT cell and can differ from measured ones.

Structure:
```
data_Y2ErFe2Co6Ni
_chemical_formula_sum 'Y6 Er3 Fe6 Co18 Ni3'
_symmetry_space_group_name_H-M 'R -3 m'
_symmetry_Int_Tables_number 166
_symmetry_space_group_name_Hall '-R 3 2"'
_cell_length_a 4.9987
_cell_length_b 4.9987
_cell_length_c 24.0883
_cell_angle_alpha 90.00
_cell_angle_beta 90.00
_cell_angle_gamma 120.00
loop_
_atom_site_label
_atom_site_type_symbol
_atom_site_fract_x
_atom_site_fract_y
_atom_site_fract_z
_atom_site_occupancy
Y1 Y 0.0000 0.0000 0.1398 1
Er1 Er 0.0000 0.0000 0.0000 1
Fe1 Fe 0.0000 0.0000 0.3337 1
Co1 Co 0.9997 0.4998 0.0803 1
Ni1 Ni 0.0000 0.0000 0.5000 1
```

Main lines, by intensity (10° ≤ 2θ ≤ 80°):
2θ/deg  d [Å]  I/Imax  (hkl)
42.61  2.122  100  1 1 6
35.93  2.499  41  1 1 0
41.91  2.156  38  0 2 1
36.34  2.472  36  0 1 8
33.26  2.694  35  1 0 7
69.18  1.358  22  3 0 6
76.18  1.250  21  2 2 0
42.43  2.130  18  2 0 2



YEr2Fe2CoNi6: simulated powder diffractogram (CuKα), based on a DFT-relaxed cell (GGA-PBE, OQMD).
Peak positions follow from Bragg's law for the DFT cell and can differ from measured ones.

Structure:
```
data_YEr2Fe2CoNi6
_chemical_formula_sum 'Y3 Er6 Fe6 Co3 Ni18'
_symmetry_space_group_name_H-M 'R -3 m'
_symmetry_Int_Tables_number 166
_symmetry_space_group_name_Hall '-R 3 2"'
_cell_length_a 4.9756
_cell_length_b 4.9756
_cell_length_c 24.1439
_cell_angle_alpha 90.00
_cell_angle_beta 90.00
_cell_angle_gamma 120.00
loop_
_atom_site_label
_atom_site_type_symbol
_atom_site_fract_x
_atom_site_fract_y
_atom_site_fract_z
_atom_site_occupancy
Y1 Y 0.0000 0.0000 0.0000 1
Er1 Er 0.0000 0.0000 0.1398 1
Fe1 Fe 0.0000 0.0000 0.3329 1
Co1 Co 0.0000 0.0000 0.5000 1
Ni1 Ni 0.0019 0.5009 0.0821 1
```

Main lines, by intensity (10° ≤ 2θ ≤ 80°):
2θ/deg  d [Å]  I/Imax  (hkl)
42.73  2.116  100  1 1 6
36.10  2.488  54  1 1 0
33.27  2.693  53  1 0 7
42.11  2.146  43  0 2 1
36.34  2.472  39  0 1 8
69.51  1.352  33  0 3 6
46.14  1.968  26  2 0 5
46.43  1.956  26  0 1 11



> Number 2 is which compound?

Y2ErFe2Co6Ni